# MgInIr
Calculated X-ray powder pattern, Cu Ka. Input: a DFT-relaxed cell (PBE, Alexandria).
Lines closer than 0.1° are merged.

Top 8 peaks for 10° ≤ 2θ ≤ 80°, by angle:
| d [Å] | I/Imax | h k l |
| --- | --- | --- |
| 4.570 | 100 | 0 1 0 |
| 2.507 | 49 | 1 0 1 |
| 2.297 | 24 | 0 0 2 |
| 2.285 | 23 | 0 2 0 |
| 2.199 | 84 | 1 1 1 |
| 2.053 | 24 | 0 1 2 |
| 1.689 | 26 | 1 2 1 |
| 1.620 | 16 | 0 2 2 |

Crystal structure
```
MgInIr
1.0
2.9929 0.0000 0.0000
0.0000 4.5699 0.0000
0.0000 0.0000 4.5949
Mg In Ir
1 1 1
Direct
0.0000 0.0000 0.0000
0.0000 0.5000 0.5000
0.5000 0.5000 0.0000
```